Entry 1:
Sr4Pu6O19: calculated powder diffractogram (λ = 1.5418 Å (Cu Kα)), based on a GGA-PBE-relaxed structure.

a b c (Å): 8.640 8.640 8.640
angles (deg): 109.47 109.47 109.47
Sites, in units of the cell vectors:
Sr 0.000 0.000 0.284
Sr 0.000 0.284 0.000
Sr 0.284 0.000 0.000
Sr 0.716 0.716 0.716
Pu 0.170 0.500 0.670
Pu 0.330 0.830 0.500
Pu 0.500 0.330 0.830
Pu 0.500 0.670 0.170
Pu 0.670 0.170 0.500
Pu 0.830 0.500 0.330
O 0.000 0.000 0.000
O 0.000 0.366 0.366
O 0.000 0.634 0.634
O 0.033 0.731 0.343
O 0.269 0.302 0.612
O 0.302 0.612 0.269
O 0.310 0.698 0.967
O 0.343 0.033 0.731
O 0.366 0.000 0.366
O 0.366 0.366 0.000
O 0.388 0.690 0.657
O 0.612 0.269 0.302
O 0.634 0.000 0.634
O 0.634 0.634 0.000
O 0.657 0.388 0.690
O 0.690 0.657 0.388
O 0.698 0.967 0.310
O 0.731 0.343 0.033
O 0.967 0.310 0.698

The 10 most intense peaks (2θ = 5–70°), low angle first:
2θ = 12.5°, I 49
2θ = 17.8°, I 38
2θ = 21.8°, I 23
2θ = 28.3°, I 100
2θ = 33.6°, I 80
2θ = 44.5°, I 19
2θ = 46.4°, I 50
2θ = 55.2°, I 26
2θ = 56.9°, I 25
2θ = 63.2°, I 20


Entry 2:
Sr3PuO7: calculated powder diffractogram (λ = 1.5418 Å (Cu Kα)), based on a GGA-PBE-relaxed structure.

a b c (Å): 5.772 5.772 6.496
angles (deg): 112.53 112.53 87.73
Sites, in units of the cell vectors:
Sr 0.000 0.000 0.000
Sr 0.279 0.726 0.522
Sr 0.726 0.279 0.522
Pu 0.495 0.495 0.015
O 0.013 0.013 0.648
O 0.168 0.538 0.783
O 0.348 0.348 0.187
O 0.456 0.829 0.246
O 0.538 0.168 0.783
O 0.654 0.654 0.858
O 0.829 0.456 0.246

The 10 most intense peaks (2θ = 5–70°), low angle first:
2θ = 16.8°, I 46
2θ = 18.0°, I 20
2θ = 25.3°, I 57
2θ = 27.6°, I 100
2θ = 28.6°, I 45
2θ = 31.1°, I 44
2θ = 32.5°, I 21
2θ = 43.5°, I 33
2θ = 47.8°, I 25
2θ = 54.5°, I 25


Entry 3:
SrPu3O9: calculated powder diffractogram (λ = 1.5418 Å (Cu Kα)), based on a GGA-PBE-relaxed structure.

a b c (Å): 5.779 8.101 8.872
angles (deg): 90.00 93.37 90.00
Sites, in units of the cell vectors:
Sr 0.036 0.250 0.437
Sr 0.964 0.750 0.563
Pu 0.000 0.000 0.000
Pu 0.000 0.500 0.000
Pu 0.468 0.002 0.690
Pu 0.468 0.498 0.690
Pu 0.532 0.502 0.310
Pu 0.532 0.998 0.310
O 0.075 0.250 0.987
O 0.163 0.553 0.788
O 0.163 0.947 0.788
O 0.273 0.536 0.473
O 0.273 0.964 0.473
O 0.303 0.541 0.118
O 0.303 0.959 0.118
O 0.361 0.250 0.665
O 0.434 0.250 0.313
O 0.566 0.750 0.687
O 0.639 0.750 0.335
O 0.697 0.041 0.882
O 0.697 0.459 0.882
O 0.727 0.036 0.527
O 0.727 0.464 0.527
O 0.837 0.053 0.212
O 0.837 0.447 0.212
O 0.925 0.750 0.013

The 10 most intense peaks (2θ = 5–70°), low angle first:
2θ = 18.8°, I 65
2θ = 21.9°, I 100
2θ = 24.6°, I 89
2θ = 26.1°, I 52
2θ = 28.4°, I 35
2θ = 29.1°, I 70
2θ = 30.3°, I 39
2θ = 31.0°, I 48
2θ = 33.2°, I 52
2θ = 37.7°, I 41


Entry 4:
Sr2PuO6: calculated powder diffractogram (λ = 1.5418 Å (Cu Kα)), based on a GGA-PBE-relaxed structure.

a b c (Å): 6.018 6.018 8.401
angles (deg): 90.00 90.00 90.00
Sites, in units of the cell vectors:
Sr 0.000 0.500 0.250
Sr 0.000 0.500 0.750
Sr 0.500 0.000 0.250
Sr 0.500 0.000 0.750
Pu 0.000 0.000 0.000
Pu 0.500 0.500 0.500
O 0.000 0.000 0.233
O 0.000 0.000 0.767
O 0.132 0.299 0.000
O 0.201 0.368 0.500
O 0.299 0.868 0.000
O 0.368 0.799 0.500
O 0.500 0.500 0.267
O 0.500 0.500 0.733
O 0.632 0.201 0.500
O 0.701 0.132 0.000
O 0.799 0.632 0.500
O 0.868 0.701 0.000

The 10 most intense peaks (2θ = 5–70°), low angle first:
2θ = 18.1°, I 100
2θ = 29.7°, I 42
2θ = 29.9°, I 63
2θ = 35.0°, I 31
2θ = 35.4°, I 17
2θ = 42.5°, I 19
2θ = 46.8°, I 13
2θ = 52.8°, I 33
2θ = 53.2°, I 16
2θ = 62.1°, I 12


Entry 5:
SrPu2O7: calculated powder diffractogram (λ = 1.5418 Å (Cu Kα)), based on a GGA-PBE-relaxed structure.

a b c (Å): 10.623 10.623 10.623
angles (deg): 21.02 21.02 21.02
Sites, in units of the cell vectors:
Sr 0.000 0.000 0.000
Pu 0.434 0.434 0.434
Pu 0.566 0.566 0.566
O 0.085 0.085 0.085
O 0.220 0.220 0.220
O 0.370 0.370 0.370
O 0.500 0.500 0.500
O 0.630 0.630 0.630
O 0.780 0.780 0.780
O 0.915 0.915 0.915

The 10 most intense peaks (2θ = 5–70°), low angle first:
2θ = 17.1°, I 56
2θ = 25.7°, I 55
2θ = 26.7°, I 75
2θ = 27.2°, I 100
2θ = 30.2°, I 45
2θ = 33.4°, I 68
2θ = 35.3°, I 35
2θ = 46.9°, I 62
2θ = 49.1°, I 39
2θ = 54.2°, I 44


Entry 6:
Sr2PuO4: calculated powder diffractogram (λ = 1.5418 Å (Cu Kα)), based on a GGA-PBE-relaxed structure.

a b c (Å): 6.149 10.427 3.583
angles (deg): 90.00 90.00 90.00
Sites, in units of the cell vectors:
Sr 0.064 0.179 0.000
Sr 0.436 0.679 0.000
Sr 0.564 0.321 0.000
Sr 0.936 0.821 0.000
Pu 0.000 0.500 0.500
Pu 0.500 0.000 0.500
O 0.140 0.691 0.500
O 0.223 0.455 0.000
O 0.277 0.955 0.000
O 0.360 0.191 0.500
O 0.640 0.809 0.500
O 0.723 0.045 0.000
O 0.777 0.545 0.000
O 0.860 0.309 0.500

The 10 most intense peaks (2θ = 5–70°), low angle first:
2θ = 16.7°, I 67
2θ = 29.0°, I 29
2θ = 29.5°, I 79
2θ = 30.1°, I 100
2θ = 30.3°, I 48
2θ = 42.4°, I 49
2θ = 52.2°, I 17
2θ = 52.7°, I 26
2θ = 52.9°, I 32
2θ = 60.0°, I 22